# 1
Theoretical powder diffraction line list of PrSm8Ga6 for Cu Ka, from a cell relaxed with PBE.
Kinematic intensities with the Lorentz-polarization factor, no thermal factor.

Atomic structure:
a b c (Å): 8.0769 8.0769 8.0769
angles (deg): 66.37 66.37 66.37
Atoms (fractional coordinates):
Pr (0.0000, 0.0000, 0.0000)
Sm (0.1133, 0.7800, 0.4457)
Sm (0.2200, 0.5543, 0.8867)
Sm (0.3329, 0.3329, 0.3329)
Sm (0.4457, 0.1133, 0.7800)
Sm (0.5543, 0.8867, 0.2200)
Sm (0.6671, 0.6671, 0.6671)
Sm (0.7800, 0.4457, 0.1133)
Sm (0.8867, 0.2200, 0.5543)
Ga (0.0572, 0.3940, 0.7200)
Ga (0.2800, 0.9428, 0.6060)
Ga (0.3940, 0.7200, 0.0572)
Ga (0.6060, 0.2800, 0.9428)
Ga (0.7200, 0.0572, 0.3940)
Ga (0.9428, 0.6060, 0.2800)

Main lines, by angle (10° ≤ 2θ ≤ 80°):
two_theta, d [Å], I_rel
14.15, 6.259, 1
20.09, 4.421, 3
24.65, 3.611, 34
35.15, 2.553, 100
38.08, 2.363, 1
43.41, 2.085, 10
50.55, 1.805, 18
57.03, 1.615, 13
63.06, 1.474, 36
74.29, 1.277, 11
79.63, 1.204, 4
79.69, 1.203, 3

***

# 2
Theoretical powder diffraction line list of Pr2Sm8Ga for Cu Ka, from a cell relaxed with PBE.
Kinematic intensities with the Lorentz-polarization factor, no thermal factor.

Atomic structure:
a b c (Å): 9.9167 9.9167 7.5623
angles (deg): 112.37 112.37 32.60
Atoms (fractional coordinates):
Pr (0.1915, 0.1915, 0.1913)
Pr (0.8085, 0.8085, 0.8087)
Sm (0.0001, 0.0001, 0.2565)
Sm (0.9999, 0.9999, 0.7435)
Sm (0.1811, 0.1811, 0.6814)
Sm (0.3702, 0.3702, 0.1061)
Sm (0.3698, 0.3698, 0.6331)
Sm (0.6302, 0.6302, 0.3669)
Sm (0.6298, 0.6298, 0.8939)
Sm (0.8189, 0.8189, 0.3186)
Ga (0.5000, 0.5000, 0.5000)

Main lines, by angle (10° ≤ 2θ ≤ 80°):
two_theta, d [Å], I_rel
25.67, 3.470, 17
30.19, 2.960, 39
30.70, 2.913, 13
32.16, 2.784, 33
32.49, 2.756, 100
41.59, 2.171, 10
45.05, 2.012, 9
48.11, 1.891, 27
57.54, 1.602, 20
57.87, 1.593, 12
59.05, 1.564, 29
60.61, 1.528, 7

***

# 3
Theoretical powder diffraction line list of Pr2SmGa2 for Cu Ka, from a cell relaxed with PBE.
Kinematic intensities with the Lorentz-polarization factor, no thermal factor.

Atomic structure:
a b c (Å): 5.9684 5.9684 6.7770
angles (deg): 124.46 124.46 47.10
Atoms (fractional coordinates):
Pr (0.1984, 0.1984, 0.1982)
Pr (0.8016, 0.8016, 0.8018)
Sm (0.0000, 0.0000, 0.5000)
Ga (0.5004, 0.5004, 0.2001)
Ga (0.4996, 0.4996, 0.7999)

Main lines, by angle (10° ≤ 2θ ≤ 80°):
two_theta, d [Å], I_rel
26.30, 3.389, 21
30.94, 2.890, 100
33.92, 2.643, 25
34.09, 2.630, 56
36.54, 2.459, 10
37.72, 2.385, 28
49.41, 1.845, 10
51.42, 1.777, 14
51.60, 1.771, 24
63.62, 1.463, 11
63.75, 1.460, 11
63.92, 1.456, 12

***

# 4
Theoretical powder diffraction line list of Pr4SmGa for Cu Ka, from a cell relaxed with PBE.
Kinematic intensities with the Lorentz-polarization factor, no thermal factor.

Atomic structure:
a b c (Å): 6.5747 6.5747 8.8566
angles (deg): 111.53 111.53 33.68
Atoms (fractional coordinates):
Pr (0.0000, 0.0000, 0.0000)
Pr (0.0235, 0.0235, 0.4375)
Pr (0.3033, 0.3033, 0.1568)
Pr (0.3275, 0.3275, 0.5957)
Sm (0.6631, 0.6631, 0.7971)
Ga (0.6640, 0.6640, 0.2980)

Main lines, by angle (10° ≤ 2θ ≤ 80°):
two_theta, d [Å], I_rel
30.13, 2.966, 41
30.41, 2.940, 17
30.98, 2.887, 100
31.20, 2.867, 53
32.98, 2.716, 90
40.78, 2.213, 14
46.95, 1.935, 30
47.76, 1.904, 18
54.08, 1.696, 16
57.47, 1.604, 24
57.91, 1.592, 17
58.15, 1.586, 19